# 1
This entry pairs a crystal structure of Ba2InCuO4 with its theoretical PXRD pattern. Radiation: CuKα. Structure: a DFT-relaxed cell (GGA-PBE, the Materials Project).
Lines closer than 0.1° are merged.

Peak list (10 most intense, 15 to 90 degrees two-theta, by intensity)
2θ 30.26, rel. 100.0
2θ 29.93, rel. 61.8
2θ 53.35, rel. 40.5
2θ 42.84, rel. 29.7
2θ 53.97, rel. 19.2
2θ 62.95, rel. 15.3
2θ 43.81, rel. 11.9
2θ 86.36, rel. 10.6
2θ 70.54, rel. 10.1
2θ 86.86, rel. 10.1

Atomic structure:
Unit cell a=4.222 b=4.222 c=8.265 alpha=90.00 beta=90.00 gamma=90.00
Fractional coordinates of all 8 atoms:
Ba: 0.000 0.000 0.231
Ba: 0.000 0.000 0.769
In: 0.500 0.500 0.000
Cu: 0.500 0.500 0.500
O: 0.000 0.500 0.000
O: 0.500 0.000 0.000
O: 0.500 0.500 0.281
O: 0.500 0.500 0.719

***

# 2
This entry pairs a crystal structure of LuZn2 with its theoretical PXRD pattern. Radiation: CuKα. Structure: a DFT-relaxed cell (GGA-PBE, the Materials Project).
Lines closer than 0.1° are merged.

Peak list (10 most intense, 15 to 90 degrees two-theta, by intensity)
2θ 34.95, rel. 100.0
2θ 41.48, rel. 45.6
2θ 35.21, rel. 42.8
2θ 40.79, rel. 42.2
2θ 33.88, rel. 25.9
2θ 23.34, rel. 24.3
2θ 54.97, rel. 23.8
2θ 67.68, rel. 14.3
2θ 70.50, rel. 12.8
2θ 69.20, rel. 9.3

Atomic structure:
Unit cell a=4.424 b=6.947 c=7.502 alpha=90.00 beta=90.00 gamma=90.00
Fractional coordinates of all 12 atoms:
Lu: 0.000 0.250 0.036
Lu: 0.000 0.750 0.964
Lu: 0.500 0.250 0.464
Lu: 0.500 0.750 0.536
Zn: 0.000 0.046 0.666
Zn: 0.000 0.454 0.666
Zn: 0.000 0.546 0.334
Zn: 0.000 0.954 0.334
Zn: 0.500 0.046 0.834
Zn: 0.500 0.454 0.834
Zn: 0.500 0.546 0.166
Zn: 0.500 0.954 0.166

***

# 3
This entry pairs a crystal structure of K2LaP2S7 with its theoretical PXRD pattern. Radiation: CuKα. Structure: a DFT-relaxed cell (GGA-PBE, the Materials Project).
Lines closer than 0.1° are merged.

Peak list (10 most intense, 15 to 90 degrees two-theta, by intensity)
2θ 16.00, rel. 100.0
2θ 32.33, rel. 72.4
2θ 37.23, rel. 68.4
2θ 30.53, rel. 60.7
2θ 32.93, rel. 60.0
2θ 25.71, rel. 59.5
2θ 25.07, rel. 58.4
2θ 23.17, rel. 56.6
2θ 27.69, rel. 54.7
2θ 31.01, rel. 54.6

Atomic structure:
Unit cell a=9.278 b=6.931 c=21.352 alpha=90.00 beta=108.86 gamma=90.00
Fractional coordinates of all 48 atoms:
K: 0.160 0.030 0.310
K: 0.160 0.470 0.810
K: 0.252 0.512 0.490
K: 0.252 0.988 0.990
K: 0.748 0.012 0.010
K: 0.748 0.488 0.510
K: 0.840 0.530 0.190
K: 0.840 0.970 0.690
La: 0.339 0.027 0.650
La: 0.339 0.473 0.150
La: 0.661 0.527 0.850
La: 0.661 0.973 0.350
P: 0.040 0.011 0.456
P: 0.040 0.489 0.956
P: 0.428 0.517 0.331
P: 0.428 0.983 0.831
P: 0.572 0.017 0.169
P: 0.572 0.483 0.669
P: 0.960 0.511 0.044
P: 0.960 0.989 0.544
S: 0.040 0.232 0.599
S: 0.040 0.268 0.099
S: 0.069 0.744 0.096
S: 0.069 0.756 0.596
S: 0.216 0.012 0.761
S: 0.216 0.488 0.261
S: 0.268 0.034 0.494
S: 0.268 0.466 0.994
S: 0.417 0.074 0.218
S: 0.417 0.426 0.718
S: 0.434 0.747 0.392
S: 0.434 0.753 0.892
S: 0.478 0.223 0.890
S: 0.478 0.277 0.390
S: 0.522 0.723 0.610
S: 0.522 0.777 0.110
S: 0.566 0.247 0.108
S: 0.566 0.253 0.608
S: 0.583 0.574 0.282
S: 0.583 0.926 0.782
S: 0.732 0.534 0.006
S: 0.732 0.966 0.506
S: 0.784 0.512 0.739
S: 0.784 0.988 0.239
S: 0.931 0.244 0.404
S: 0.931 0.256 0.904
S: 0.960 0.732 0.901
S: 0.960 0.768 0.401

***

# 4
This entry pairs a crystal structure of DyHO2 with its theoretical PXRD pattern. Radiation: CuKα. Structure: a DFT-relaxed cell (GGA-PBE, the Materials Project).
Lines closer than 0.1° are merged.

Peak list (10 most intense, 15 to 90 degrees two-theta, by intensity)
2θ 35.22, rel. 100.0
2θ 19.24, rel. 78.0
2θ 29.21, rel. 64.8
2θ 49.51, rel. 45.8
2θ 55.77, rel. 27.9
2θ 51.80, rel. 23.8
2θ 64.19, rel. 17.6
2θ 86.92, rel. 15.8
2θ 68.29, rel. 15.5
2θ 74.47, rel. 13.2

Atomic structure:
Unit cell a=3.530 b=3.530 c=9.224 alpha=90.00 beta=90.00 gamma=120.00
Fractional coordinates of all 8 atoms:
Dy: 0.000 0.000 0.000
Dy: 0.000 0.000 0.500
H: 0.333 0.667 0.250
H: 0.667 0.333 0.750
O: 0.333 0.667 0.117
O: 0.333 0.667 0.383
O: 0.667 0.333 0.617
O: 0.667 0.333 0.883

***

# 5
This entry pairs a crystal structure of U3Ga2Ge3 with its theoretical PXRD pattern. Radiation: CuKα. Structure: a DFT-relaxed cell (GGA-PBE, the Materials Project).
Lines closer than 0.1° are merged.

Peak list (10 most intense, 15 to 90 degrees two-theta, by intensity)
2θ 35.52, rel. 100.0
2θ 36.68, rel. 76.1
2θ 26.96, rel. 42.3
2θ 49.68, rel. 34.4
2θ 32.32, rel. 26.2
2θ 52.82, rel. 21.5
2θ 22.83, rel. 21.3
2θ 28.11, rel. 20.7
2θ 70.21, rel. 20.4
2θ 32.69, rel. 14.7

Atomic structure:
Unit cell a=7.792 b=7.792 c=7.792 alpha=120.37 beta=120.37 gamma=89.36
Fractional coordinates of all 16 atoms:
U: 0.000 0.000 0.000
U: 0.114 0.614 0.188
U: 0.425 0.925 0.812
U: 0.500 0.500 0.000
U: 0.614 0.425 0.500
U: 0.925 0.114 0.500
Ga: 0.224 0.444 0.500
Ga: 0.444 0.944 0.220
Ga: 0.724 0.224 0.780
Ga: 0.944 0.724 0.500
Ge: 0.104 0.604 0.798
Ge: 0.250 0.250 0.000
Ge: 0.305 0.104 0.500
Ge: 0.604 0.805 0.500
Ge: 0.750 0.750 0.000
Ge: 0.805 0.305 0.202